Record 1
# EuNb3
Calculated powder X-ray diffraction pattern, Cu Kα (weighted mean of Kα1 and Kα2). Input: a GGA-PBE-relaxed structure.
Lines closer than 0.1° are merged.

Peak list (10 most intense, 2θ = 15–90°, low angle first)
hkl 1 0 1, 2θ = 23.6°, I 137; hkl 2 0 0, 2θ = 31.9°, I 235; hkl 0 0 2, 2θ = 35.4°, I 275; hkl 2 0 1, 2θ = 36.6°, I 1000; hkl 2 1 0, 2θ = 42.6°, I 83; hkl 2 0 2, 2θ = 48.3°, I 144; hkl 2 2 0, 2θ = 56.8°, I 152; hkl 2 0 3, 2θ = 64.3°, I 187; hkl 2 2 2, 2θ = 68.7°, I 156; hkl 4 0 1, 2θ = 69.4°, I 92

Crystal structure
```
data_EuNb3
_chemical_formula_sum 'Eu2 Nb6'
_cell_length_a 6.4862
_cell_length_b 6.4862
_cell_length_c 5.0772
_cell_angle_alpha 90.00
_cell_angle_beta 90.00
_cell_angle_gamma 120.00
_space_group_name_H-M_alt 'P 63/m m c'
_space_group_IT_number 194
_space_group_name_Hall '-P 6c 2c'
loop_
_atom_site_label
_atom_site_type_symbol
_atom_site_fract_x
_atom_site_fract_y
_atom_site_fract_z
_atom_site_occupancy
Eu1 Eu 0.3333 0.6667 0.2500 1
Nb1 Nb 0.1418 0.2836 0.7500 1
```

Record 2
# Eu3Nb
Calculated powder X-ray diffraction pattern, Cu Kα (weighted mean of Kα1 and Kα2). Input: a GGA-PBE-relaxed structure.
Lines closer than 0.1° are merged.

Peak list (10 most intense, 2θ = 15–90°, low angle first)
hkl 2 0 0, 2θ = 29.6°, I 237; hkl 0 0 2, 2θ = 32.4°, I 254; hkl 2 0 1, 2θ = 33.9°, I 1000; hkl 2 0 2, 2θ = 44.5°, I 155; hkl 2 2 0, 2θ = 52.6°, I 183; hkl 2 0 3, 2θ = 58.8°, I 202; hkl 2 2 2, 2θ = 63.1°, I 210; hkl 4 0 1, 2θ = 64.0°, I 149; hkl 4 0 3, 2θ = 82.8°, I 74; hkl 4 2 1, 2θ = 87.4°, I 124

Crystal structure
```
data_Eu3Nb
_chemical_formula_sum 'Eu6 Nb2'
_cell_length_a 6.9634
_cell_length_b 6.9634
_cell_length_c 5.5206
_cell_angle_alpha 90.00
_cell_angle_beta 90.00
_cell_angle_gamma 120.00
_space_group_name_H-M_alt 'P 63/m m c'
_space_group_IT_number 194
_space_group_name_Hall '-P 6c 2c'
loop_
_atom_site_label
_atom_site_type_symbol
_atom_site_fract_x
_atom_site_fract_y
_atom_site_fract_z
_atom_site_occupancy
Eu1 Eu 0.1748 0.3497 0.2500 1
Nb1 Nb 0.3333 0.6667 0.7500 1
```

Record 3
# Eu3Nb
Calculated powder X-ray diffraction pattern, Cu Kα (weighted mean of Kα1 and Kα2). Input: a GGA-PBE-relaxed structure.
Lines closer than 0.1° are merged.

Peak list (10 most intense, 2θ = 15–90°, low angle first)
hkl 1 1 2, 2θ = 31.0°, I 1000; hkl 2 0 0, 2θ = 34.1°, I 387; hkl 0 0 4, 2θ = 39.3°, I 131; hkl 2 2 0, 2θ = 49.0°, I 138; hkl 2 0 4, 2θ = 53.0°, I 218; hkl 3 1 2, 2θ = 59.1°, I 314; hkl 2 2 4, 2θ = 64.6°, I 121; hkl 1 1 6, 2θ = 66.1°, I 112; hkl 3 3 2, 2θ = 80.3°, I 66; hkl 3 1 6, 2θ = 86.6°, I 111

Crystal structure
```
data_Eu3Nb
_chemical_formula_sum 'Eu6 Nb2'
_cell_length_a 5.2545
_cell_length_b 5.2545
_cell_length_c 9.1641
_cell_angle_alpha 90.00
_cell_angle_beta 90.00
_cell_angle_gamma 90.00
_space_group_name_H-M_alt 'I 4/m m m'
_space_group_IT_number 139
_space_group_name_Hall '-I 4 2'
loop_
_atom_site_label
_atom_site_type_symbol
_atom_site_fract_x
_atom_site_fract_y
_atom_site_fract_z
_atom_site_occupancy
Eu1 Eu 0.0000 0.0000 0.0000 1
Eu2 Eu 0.0000 0.5000 0.2500 1
Nb1 Nb 0.0000 0.0000 0.5000 1
```

Record 4
# Eu2Nb5O9
Calculated powder X-ray diffraction pattern, Cu Kα (weighted mean of Kα1 and Kα2). Input: a GGA-PBE-relaxed structure.
Lines closer than 0.1° are merged.

Peak list (10 most intense, 2θ = 15–90°, low angle first)
hkl 1 1 0, 2θ = 30.1°, I 193; hkl 1 0 3, 2θ = 30.7°, I 1000; hkl 1 1 1, 2θ = 31.0°, I 327; hkl 1 1 2, 2θ = 33.6°, I 273; hkl 1 1 4, 2θ = 42.6°, I 152; hkl 2 0 0, 2θ = 43.1°, I 502; hkl 0 0 6, 2θ = 44.7°, I 221; hkl 2 1 3, 2θ = 53.8°, I 406; hkl 2 2 0, 2θ = 62.6°, I 155; hkl 2 0 6, 2θ = 63.8°, I 286

Crystal structure
```
data_Eu2Nb5O9
_chemical_formula_sum 'Eu2 Nb5 O9'
_cell_length_a 4.1964
_cell_length_b 4.1964
_cell_length_c 12.1675
_cell_angle_alpha 90.00
_cell_angle_beta 90.00
_cell_angle_gamma 90.00
_space_group_name_H-M_alt 'P 4/m m m'
_space_group_IT_number 123
_space_group_name_Hall '-P 4 2'
loop_
_atom_site_label
_atom_site_type_symbol
_atom_site_fract_x
_atom_site_fract_y
_atom_site_fract_z
_atom_site_occupancy
Eu1 Eu 0.0000 0.0000 0.1694 1
Nb1 Nb 0.0000 0.5000 0.5000 1
Nb2 Nb 0.5000 0.5000 0.0000 1
Nb3 Nb 0.5000 0.5000 0.3355 1
O1 O 0.0000 0.0000 0.5000 1
O2 O 0.0000 0.5000 0.0000 1
O3 O 0.0000 0.5000 0.3226 1
O4 O 0.5000 0.5000 0.1621 1
```

Record 5
# Eu3NbO7
Calculated powder X-ray diffraction pattern, Cu Kα (weighted mean of Kα1 and Kα2). Input: a GGA-PBE-relaxed structure.
Lines closer than 0.1° are merged.

Peak list (10 most intense, 2θ = 15–90°, low angle first)
hkl 0 2 2, 2θ = 28.5°, I 1000; hkl 2 0 2, 2θ = 29.0°, I 879; hkl 0 0 4, 2θ = 33.1°, I 231; hkl 2 2 0, 2θ = 33.4°, I 430; hkl 0 4 0, 2θ = 47.3°, I 176; hkl 2 2 4, 2θ = 47.7°, I 480; hkl 0 2 6, 2θ = 56.3°, I 115; hkl 2 4 2, 2θ = 56.4°, I 263; hkl 2 0 6, 2θ = 56.6°, I 115; hkl 4 2 2, 2θ = 57.3°, I 150

Crystal structure
```
data_Eu3NbO7
_chemical_formula_sum 'Eu12 Nb4 O28'
_cell_length_a 7.4885
_cell_length_b 7.6914
_cell_length_c 10.8238
_cell_angle_alpha 90.00
_cell_angle_beta 90.00
_cell_angle_gamma 90.00
_space_group_name_H-M_alt 'P 21 21 21'
_space_group_IT_number 19
_space_group_name_Hall 'P 2ac 2ab'
loop_
_atom_site_label
_atom_site_type_symbol
_atom_site_fract_x
_atom_site_fract_y
_atom_site_fract_z
_atom_site_occupancy
Eu1 Eu 0.0230 0.0060 0.2441 1
Eu2 Eu 0.2052 0.2500 0.5138 1
Eu3 Eu 0.2143 0.2439 0.9758 1
Nb1 Nb 0.0061 0.4962 0.7489 1
O1 O 0.0131 0.7605 0.3774 1
O2 O 0.0355 0.7453 0.1067 1
O3 O 0.0758 0.2523 0.7434 1
O4 O 0.1463 0.5442 0.6028 1
O5 O 0.1900 0.9713 0.6188 1
O6 O 0.1999 0.5379 0.8687 1
O7 O 0.2108 0.9587 0.8687 1
```

Record 6
# Eu3NbO7
Calculated powder X-ray diffraction pattern, Cu Kα (weighted mean of Kα1 and Kα2). Input: a GGA-PBE-relaxed structure.
Lines closer than 0.1° are merged.

Peak list (10 most intense, 2θ = 15–90°, low angle first)
hkl 0 2 2, 2θ = 28.4°, I 1000; hkl 2 2 0, 2θ = 28.9°, I 998; hkl 2 0 2, 2θ = 33.2°, I 671; hkl 0 0 4, 2θ = 47.0°, I 177; hkl 2 4 2, 2θ = 47.6°, I 581; hkl 4 0 0, 2θ = 48.3°, I 138; hkl 2 2 4, 2θ = 56.1°, I 306; hkl 0 6 2, 2θ = 56.3°, I 121; hkl 4 2 2, 2θ = 57.0°, I 261; hkl 4 4 4, 2θ = 79.3°, I 147

Crystal structure
```
data_Eu3NbO7
_chemical_formula_sum 'Eu12 Nb4 O28'
_cell_length_a 7.5382
_cell_length_b 10.8186
_cell_length_c 7.7392
_cell_angle_alpha 90.00
_cell_angle_beta 90.00
_cell_angle_gamma 90.00
_space_group_name_H-M_alt 'C 2 2 21'
_space_group_IT_number 20
_space_group_name_Hall 'C 2c 2'
loop_
_atom_site_label
_atom_site_type_symbol
_atom_site_fract_x
_atom_site_fract_y
_atom_site_fract_z
_atom_site_occupancy
Eu1 Eu 0.0077 0.0000 0.0000 1
Eu2 Eu 0.2359 0.2669 0.7526 1
Nb1 Nb 0.0019 0.5000 0.0000 1
O1 O 0.0000 0.1280 0.2500 1
O2 O 0.0000 0.1378 0.7500 1
O3 O 0.0000 0.4418 0.7500 1
O4 O 0.1929 0.3759 0.0339 1
O5 O 0.1997 0.3769 0.4732 1
```

Record 7
# Eu3NbO6
Calculated powder X-ray diffraction pattern, Cu Kα (weighted mean of Kα1 and Kα2). Input: a GGA-PBE-relaxed structure.
Lines closer than 0.1° are merged.

Peak list (10 most intense, 2θ = 15–90°, low angle first)
hkl 0 2 0, 2θ = 29.5°, I 216; hkl 1 1 1, 2θ = 30.2°, I 1000; hkl 2 0 -2, 2θ = 30.8°, I 233; hkl 0 0 4, 2θ = 43.2°, I 315; hkl 1 3 -3, 2θ = 52.8°, I 129; hkl 0 2 4, 2θ = 53.2°, I 99; hkl 2 0 2, 2θ = 54.0°, I 113; hkl 3 1 -5, 2θ = 54.4°, I 222; hkl 2 2 2, 2θ = 62.8°, I 110; hkl 1 1 5, 2θ = 71.2°, I 120

Crystal structure
```
data_Eu3NbO6
_chemical_formula_sum 'Eu6 Nb2 O12'
_cell_length_a 5.8079
_cell_length_b 6.0530
_cell_length_c 10.1789
_cell_angle_alpha 90.00
_cell_angle_beta 124.69
_cell_angle_gamma 90.00
_space_group_name_H-M_alt 'P 1 21/c 1'
_space_group_IT_number 14
_space_group_name_Hall '-P 2ybc'
loop_
_atom_site_label
_atom_site_type_symbol
_atom_site_fract_x
_atom_site_fract_y
_atom_site_fract_z
_atom_site_occupancy
Eu1 Eu 0.0000 0.0000 0.0000 1
Eu2 Eu 0.2629 0.0554 0.7474 1
Nb1 Nb 0.5000 0.0000 0.5000 1
O1 O 0.1551 0.0525 0.2731 1
O2 O 0.2722 0.6771 0.0561 1
O3 O 0.3998 0.2192 0.0690 1
```

Record 8
# Eu3NbO7
Calculated powder X-ray diffraction pattern, Cu Kα (weighted mean of Kα1 and Kα2). Input: a GGA-PBE-relaxed structure.
Lines closer than 0.1° are merged.

Peak list (10 most intense, 2θ = 15–90°, low angle first)
hkl 2 0 2, 2θ = 28.3°, I 1000; hkl 2 2 0, 2θ = 29.0°, I 951; hkl 4 0 0, 2θ = 33.1°, I 233; hkl 0 2 2, 2θ = 33.3°, I 439; hkl 0 0 4, 2θ = 46.8°, I 185; hkl 4 2 2, 2θ = 47.6°, I 542; hkl 2 2 4, 2θ = 56.0°, I 295; hkl 6 0 2, 2θ = 56.1°, I 118; hkl 6 2 0, 2θ = 56.6°, I 121; hkl 2 4 2, 2θ = 57.3°, I 210

Crystal structure
```
data_Eu3NbO7
_chemical_formula_sum 'Eu12 Nb4 O28'
_cell_length_a 10.8397
_cell_length_b 7.4721
_cell_length_c 7.7677
_cell_angle_alpha 90.00
_cell_angle_beta 90.00
_cell_angle_gamma 90.00
_space_group_name_H-M_alt 'C m c m'
_space_group_IT_number 63
_space_group_name_Hall '-C 2c 2'
loop_
_atom_site_label
_atom_site_type_symbol
_atom_site_fract_x
_atom_site_fract_y
_atom_site_fract_z
_atom_site_occupancy
Eu1 Eu 0.0000 0.0000 0.0000 1
Eu2 Eu 0.2335 0.2817 0.2500 1
Nb1 Nb 0.0000 0.5000 0.0000 1
O1 O 0.0000 0.4432 0.2500 1
O2 O 0.1273 0.3050 0.5277 1
O3 O 0.1323 0.0180 0.2500 1
```

Record 9
# PrEu2NbO6
Calculated powder X-ray diffraction pattern, Cu Kα (weighted mean of Kα1 and Kα2). Input: a GGA-PBE-relaxed structure.
Lines closer than 0.1° are merged.

Peak list (10 most intense, 2θ = 15–90°, low angle first)
hkl 1 1 1, 2θ = 18.0°, I 9; hkl 2 2 0, 2θ = 29.7°, I 1000; hkl 3 1 1, 2θ = 34.9°, I 14; hkl 2 2 2, 2θ = 36.6°, I 27; hkl 4 0 0, 2θ = 42.5°, I 256; hkl 4 2 2, 2θ = 52.7°, I 449; hkl 4 4 0, 2θ = 61.6°, I 152; hkl 6 2 0, 2θ = 69.9°, I 182; hkl 4 4 4, 2θ = 77.7°, I 49; hkl 6 2 4, 2θ = 85.3°, I 224

Crystal structure
```
data_PrEu2NbO6
_chemical_formula_sum 'Pr4 Eu8 Nb4 O24'
_cell_length_a 8.5150
_cell_length_b 8.5150
_cell_length_c 8.5150
_cell_angle_alpha 90.00
_cell_angle_beta 90.00
_cell_angle_gamma 90.00
_space_group_name_H-M_alt 'P n -3'
_space_group_IT_number 201
loop_
_space_group_symop_operation_xyz
'x,y,z'
'-x,-y,-z'
'-x+1/2,-y+1/2,z'
'x+1/2,y+1/2,-z'
'x,-y+1/2,-z+1/2'
'-x,y+1/2,z+1/2'
'-x+1/2,y,-z+1/2'
'x+1/2,-y,z+1/2'
'z,x,y'
'-z,-x,-y'
'z,-x+1/2,-y+1/2'
'-z,x+1/2,y+1/2'
'-z+1/2,x,-y+1/2'
'z+1/2,-x,y+1/2'
'-z+1/2,-x+1/2,y'
'z+1/2,x+1/2,-y'
'y,z,x'
'-y,-z,-x'
'-y+1/2,z,-x+1/2'
'y+1/2,-z,x+1/2'
'-y+1/2,-z+1/2,x'
'y+1/2,z+1/2,-x'
'y,-z+1/2,-x+1/2'
'-y,z+1/2,x+1/2'
loop_
_atom_site_label
_atom_site_type_symbol
_atom_site_fract_x
_atom_site_fract_y
_atom_site_fract_z
_atom_site_occupancy
Pr1 Pr 0.0000 0.0000 0.0000 1
Eu1 Eu 0.2500 0.2500 0.2500 1
Eu2 Eu 0.2500 0.2500 0.7500 1
Nb1 Nb 0.0000 0.0000 0.5000 1
O1 O 0.0412 0.5506 0.7698 1
```

Record 10
# PrEu2NbO6
Calculated powder X-ray diffraction pattern, Cu Kα (weighted mean of Kα1 and Kα2). Input: a GGA-PBE-relaxed structure.
Lines closer than 0.1° are merged.

Peak list (10 most intense, 2θ = 15–90°, low angle first)
hkl 2 2 0, 2θ = 29.3°, I 1000; hkl 3 1 1, 2θ = 34.5°, I 12; hkl 2 2 2, 2θ = 36.0°, I 40; hkl 4 0 0, 2θ = 41.9°, I 293; hkl 4 2 2, 2θ = 51.9°, I 407; hkl 4 4 0, 2θ = 60.7°, I 183; hkl 6 2 0, 2θ = 68.8°, I 182; hkl 6 2 2, 2θ = 72.7°, I 11; hkl 4 4 4, 2θ = 76.4°, I 60; hkl 6 4 2, 2θ = 83.9°, I 215

Crystal structure
```
data_PrEu2NbO6
_chemical_formula_sum 'Pr4 Eu8 Nb4 O24'
_cell_length_a 8.6325
_cell_length_b 8.6325
_cell_length_c 8.6325
_cell_angle_alpha 90.00
_cell_angle_beta 90.00
_cell_angle_gamma 90.00
_space_group_name_H-M_alt 'F m -3 m'
_space_group_IT_number 225
_space_group_name_Hall '-F 4 2 3'
loop_
_atom_site_label
_atom_site_type_symbol
_atom_site_fract_x
_atom_site_fract_y
_atom_site_fract_z
_atom_site_occupancy
Pr1 Pr 0.0000 0.0000 0.0000 1
Eu1 Eu 0.2500 0.2500 0.2500 1
Nb1 Nb 0.0000 0.0000 0.5000 1
O1 O 0.0000 0.0000 0.2676 1
```

Record 11
# SrPrEuNbO6
Calculated powder X-ray diffraction pattern, Cu Kα (weighted mean of Kα1 and Kα2). Input: a GGA-PBE-relaxed structure.
Lines closer than 0.1° are merged.

Peak list (10 most intense, 2θ = 15–90°, low angle first)
hkl 0 2 0, 2θ = 29.4°, I 442; hkl 1 1 -2, 2θ = 29.8°, I 1000; hkl 1 1 2, 2θ = 30.0°, I 988; hkl 2 0 0, 2θ = 30.4°, I 467; hkl 0 0 4, 2θ = 42.7°, I 685; hkl 1 -3 2, 2θ = 52.4°, I 130; hkl 0 2 -4, 2θ = 52.6°, I 178; hkl 2 0 -4, 2θ = 53.1°, I 130; hkl 3 1 -2, 2θ = 53.4°, I 217; hkl 3 1 2, 2θ = 53.8°, I 238

Crystal structure
```
data_SrPrEuNbO6
_chemical_formula_sum 'Sr2 Pr2 Eu2 Nb2 O12'
_cell_length_a 5.8901
_cell_length_b 6.0823
_cell_length_c 8.4608
_cell_angle_alpha 90.21
_cell_angle_beta 90.58
_cell_angle_gamma 90.07
_space_group_name_H-M_alt 'P -1'
_space_group_IT_number 2
_space_group_name_Hall '-P 1'
loop_
_atom_site_label
_atom_site_type_symbol
_atom_site_fract_x
_atom_site_fract_y
_atom_site_fract_z
_atom_site_occupancy
Sr1 Sr 0.0141 0.0527 0.2496 1
Pr1 Pr 0.0000 0.5000 0.5000 1
Pr2 Pr 0.5000 0.0000 0.0000 1
Eu1 Eu 0.4836 0.5555 0.2513 1
Nb1 Nb 0.0000 0.5000 0.0000 1
Nb2 Nb 0.5000 0.0000 0.5000 1
O1 O 0.1103 0.5334 0.7724 1
O2 O 0.1762 0.7787 0.0576 1
O3 O 0.2213 0.8173 0.4460 1
O4 O 0.2795 0.3193 0.0572 1
O5 O 0.3267 0.2818 0.4412 1
O6 O 0.3976 0.0394 0.7280 1
```

- Which formula does entry 9 have?
  PrEu2NbO6